1.
For ZnCrPb2, the PBE geometry in Alexandria gives the simulated XRD peak list in this record (Cu Kα (weighted mean of Kα1 and Kα2)).
Kinematic intensities with the Lorentz-polarization factor, no thermal factor.

Largest 6 diffraction maxima, in order of rising 2θ, 2θ from 10° to 90°:
| h k l | 2θ/deg | d [Å] | I (rel.) |
| --- | --- | --- | --- |
| 0 1 1 | 19.5 | 4.551 | 144 |
| 1 0 1 | 27.3 | 3.272 | 182 |
| 0 1 3 | 30.6 | 2.920 | 255 |
| 0 0 4 | 33.3 | 2.692 | 191 |
| 0 2 0 | 35.8 | 2.509 | 1000 |
| 1 3 2 | 64.3 | 1.449 | 201 |

Crystal structure
```
data_ZnCrPb2
_chemical_formula_sum 'Zn2 Cr2 Pb4'
_symmetry_space_group_name_H-M 'P 1'
_symmetry_Int_Tables_number 1
_cell_length_a 3.4348
_cell_length_b 5.0216
_cell_length_c 10.7684
_cell_angle_alpha 90.00
_cell_angle_beta 90.00
_cell_angle_gamma 90.00
loop_
_symmetry_equiv_pos_as_xyz
'x,y,z'
loop_
_atom_site_label
_atom_site_fract_x
_atom_site_fract_y
_atom_site_fract_z
_atom_site_occupancy
Zn1 0.0000 0.0000 0.0000 1
Zn2 0.5000 0.5000 0.5000 1
Cr1 0.0000 0.5000 0.6950 1
Cr2 0.5000 0.0000 0.1950 1
Pb1 0.0000 0.0000 0.4447 1
Pb2 0.0000 0.5000 0.2300 1
Pb3 0.5000 0.0000 0.7300 1
Pb4 0.5000 0.5000 0.9447 1
```

---

2.
For ZnCrPb2, the PBE geometry in Alexandria gives the simulated XRD peak list in this record (Cu Kα (weighted mean of Kα1 and Kα2)).
Kinematic intensities with the Lorentz-polarization factor, no thermal factor.

Largest 6 diffraction maxima, in order of rising 2θ, 2θ from 10° to 90°:
| h k l | 2θ/deg | d [Å] | I (rel.) |
| --- | --- | --- | --- |
| 0 1 1 | 28.4 | 3.143 | 728 |
| 1 0 1 | 29.0 | 3.077 | 690 |
| 0 1 2 | 34.0 | 2.636 | 820 |
| 1 0 2 | 34.5 | 2.597 | 787 |
| 1 1 0 | 38.0 | 2.367 | 1000 |
| 1 1 3 | 50.5 | 1.807 | 541 |

Crystal structure
```
data_ZnCrPb2
_chemical_formula_sum 'Zn1 Cr1 Pb2'
_symmetry_space_group_name_H-M 'P 1'
_symmetry_Int_Tables_number 1
_cell_length_a 3.3071
_cell_length_b 3.3903
_cell_length_c 8.3869
_cell_angle_alpha 90.00
_cell_angle_beta 90.00
_cell_angle_gamma 90.00
loop_
_symmetry_equiv_pos_as_xyz
'x,y,z'
loop_
_atom_site_label
_atom_site_fract_x
_atom_site_fract_y
_atom_site_fract_z
_atom_site_occupancy
Zn1 0.0000 0.0000 0.0000 1
Cr1 0.5000 0.5000 0.1525 1
Pb1 0.0000 0.0000 0.3915 1
Pb2 0.5000 0.5000 0.7520 1
```